Entry 1:
Calculated PXRD pattern of Ta11Co4 for CuKα, from the PBE geometry in OQMD.

```
Ta11Co4
1.0
9.7028 0.0000 0.0000
0.0000 9.7028 0.0000
0.0000 0.0000 5.1329
Ta Co
22 8
Cartesian
0.0000 0.0000 0.0000
0.3372 3.6073 2.5665
0.9997 0.9997 2.5665
1.2441 5.1886 0.0000
1.8263 7.8765 1.2991
1.8263 7.8765 3.8338
3.0251 3.0251 1.2673
3.0251 3.0251 3.8656
3.6073 0.3372 2.5665
3.8517 5.8511 0.0000
4.5142 8.4587 0.0000
4.8514 4.8514 2.5665
5.1886 1.2441 0.0000
5.8511 3.8517 0.0000
6.0955 9.3656 2.5665
6.6777 6.6777 1.2673
6.6777 6.6777 3.8656
7.8765 1.8263 1.2991
7.8765 1.8263 3.8338
8.4587 4.5142 0.0000
8.7031 8.7031 2.5665
9.3656 6.0955 2.5665
0.6356 2.4902 0.0000
2.3612 5.4870 2.5665
2.4902 0.6356 0.0000
4.2158 7.3416 2.5665
5.4870 2.3612 2.5665
7.2126 9.0672 0.0000
7.3416 4.2158 2.5665
9.0672 7.2126 0.0000
```

The 8 most intense peaks (5 to 70 degrees two-theta), in order of rising 2θ:
38.2 deg, intensity 75.1
39.4 deg, intensity 44.8
39.7 deg, intensity 61.2
40.9 deg, intensity 63.2
42.2 deg, intensity 100.0
43.3 deg, intensity 29.5
67.0 deg, intensity 34.8
67.7 deg, intensity 24.7

Entry 2:
Calculated PXRD pattern of TaCo14 for CuKα, from the PBE geometry in OQMD.

```
TaCo14
1.0
8.6969 0.0000 0.0000
0.0000 8.6969 0.0000
0.0000 0.0000 4.5304
Ta Co
2 28
Cartesian
0.0000 0.0000 0.0000
4.3485 4.3485 2.2652
0.3413 3.1981 2.2652
0.5829 2.3587 0.0000
0.9216 0.9216 2.2652
1.1504 4.6898 0.0000
1.6414 7.0555 1.1390
1.6414 7.0555 3.3914
1.9897 4.9314 2.2652
2.3587 0.5829 0.0000
2.7071 2.7071 1.1262
2.7071 2.7071 3.4042
3.1981 0.3413 2.2652
3.4268 5.2701 0.0000
3.7656 6.7072 2.2652
4.0072 7.5466 0.0000
4.6898 1.1504 0.0000
4.9314 1.9897 2.2652
5.2701 3.4268 0.0000
5.4988 8.3556 2.2652
5.9899 5.9899 1.1262
5.9899 5.9899 3.4042
6.3382 8.1140 0.0000
6.7072 3.7656 2.2652
7.0555 1.6414 1.1390
7.0555 1.6414 3.3914
7.5466 4.0072 0.0000
7.7753 7.7753 2.2652
8.1140 6.3382 0.0000
8.3556 5.4988 2.2652
```

The 8 most intense peaks (5 to 70 degrees two-theta), in order of rising 2θ:
22.1 deg, intensity 26.6
42.9 deg, intensity 59.4
44.2 deg, intensity 37.9
45.1 deg, intensity 41.9
46.4 deg, intensity 40.4
47.6 deg, intensity 100.0
48.8 deg, intensity 28.8
52.3 deg, intensity 23.8

Entry 3:
Calculated PXRD pattern of Ta24Co5 for CuKα, from the PBE geometry in OQMD.

```
Ta24Co5
1.0
-5.0612 5.0612 5.0612
5.0612 -5.0612 5.0612
5.0612 5.0612 -5.0612
Ta Co
24 5
Cartesian
2.8209 0.9423 -0.9423
2.8209 -0.9423 0.9423
5.6009 1.3902 -1.3902
5.6009 -1.3902 1.3902
0.9423 2.8209 -0.9423
0.9423 -0.9423 2.8209
7.3014 0.9423 0.9423
4.5215 1.3902 1.3902
3.6710 3.6710 -0.5397
3.6710 -0.5397 3.6710
-0.9423 2.8209 0.9423
-0.9423 0.9423 2.8209
1.3902 5.6009 -1.3902
1.3902 -1.3902 5.6009
1.3902 4.5215 1.3902
1.3902 1.3902 4.5215
4.1188 4.1188 2.2402
4.1188 2.2402 4.1188
-1.3902 5.6009 1.3902
-1.3902 1.3902 5.6009
-0.5397 3.6710 3.6710
0.9423 7.3014 0.9423
2.2402 4.1188 4.1188
0.9423 0.9423 7.3014
0.0000 0.0000 0.0000
3.0603 3.0603 -3.0603
3.0603 -3.0603 3.0603
2.0009 2.0009 2.0009
-3.0603 3.0603 3.0603
```

The 8 most intense peaks (5 to 70 degrees two-theta), in order of rising 2θ:
21.5 deg, intensity 14.5
35.5 deg, intensity 13.5
37.7 deg, intensity 100.0
41.9 deg, intensity 53.4
43.8 deg, intensity 10.7
45.7 deg, intensity 31.3
68.1 deg, intensity 28.9
69.5 deg, intensity 11.8

Entry 4:
Calculated PXRD pattern of Ta4Co9 for CuKα, from the PBE geometry in OQMD.

```
Ta4Co9
1.0
2.3741 1.3707 8.4235
-2.3741 1.3707 8.4235
0.0000 -2.7414 8.4235
Ta Co
4 9
Cartesian
0.0000 0.0000 3.6244
0.0000 0.0000 8.4646
0.0000 0.0000 16.8058
0.0000 0.0000 21.6460
0.0000 0.0000 1.1450
-1.2060 -0.6963 10.6931
0.0000 -1.3926 14.5773
-1.2060 0.6963 14.5773
0.0000 0.0000 12.6352
1.2060 -0.6963 10.6931
0.0000 1.3926 10.6931
1.2060 0.6963 14.5773
0.0000 0.0000 24.1254
```

The 8 most intense peaks (5 to 70 degrees two-theta), in order of rising 2θ:
25.9 deg, intensity 33.9
37.9 deg, intensity 80.5
42.0 deg, intensity 48.8
43.8 deg, intensity 100.0
44.2 deg, intensity 14.3
45.2 deg, intensity 47.3
46.4 deg, intensity 29.9
47.8 deg, intensity 27.0